No. 1
The following is a theoretical powder X-ray diffraction pattern of BiTeO5. It was derived from DFT lattice parameters and positions (PBE), using a wavelength of 1.5418 Å.
Kinematic intensities with the Lorentz-polarization factor, no thermal factor.

Top 10 peaks for 5 to 70 degrees two-theta, in order of rising 2θ:
d 5.601, intensity 100
d 5.014, intensity 16
d 4.015, intensity 32
d 3.800, intensity 40
d 3.346, intensity 33
d 2.827, intensity 17
d 2.749, intensity 19
d 2.674, intensity 17
d 2.251, intensity 16
d 2.242, intensity 21

Atomic structure:
```
BiTeO5
1.0
5.8639 0.0000 0.0000
0.0000 11.2654 0.0000
-2.6751 0.0000 8.5931
Bi Te O
4 4 20
direct
0.0088 0.0836 0.3547
0.0088 0.4164 0.8547
0.9912 0.5836 0.1453
0.9912 0.9164 0.6453
0.1585 0.1452 0.9471
0.1585 0.3548 0.4471
0.8415 0.6452 0.5529
0.8415 0.8548 0.0529
0.1309 0.7142 0.6656
0.1309 0.7858 0.1656
0.1640 0.0794 0.1373
0.1640 0.4206 0.6373
0.1959 0.5607 0.9874
0.1959 0.9393 0.4874
0.2664 0.0324 0.8326
0.2664 0.4676 0.3326
0.3302 0.2126 0.4734
0.3302 0.2874 0.9734
0.6698 0.7126 0.0266
0.6698 0.7874 0.5266
0.7336 0.5324 0.6674
0.7336 0.9676 0.1674
0.8041 0.0607 0.5126
0.8041 0.4393 0.0126
0.8360 0.5794 0.3627
0.8360 0.9206 0.8627
0.8691 0.2142 0.8344
0.8691 0.2858 0.3344
```

=====

No. 2
The following is a theoretical powder X-ray diffraction pattern of LuCoC2. It was derived from DFT lattice parameters and positions (PBE), using a wavelength of 1.5418 Å.
Kinematic intensities with the Lorentz-polarization factor, no thermal factor.

Top 10 peaks for 5 to 70 degrees two-theta, in order of rising 2θ:
d 3.572, intensity 40
d 2.964, intensity 23
d 2.475, intensity 100
d 2.243, intensity 26
d 2.238, intensity 19
d 1.807, intensity 19
d 1.786, intensity 14
d 1.717, intensity 10
d 1.584, intensity 15
d 1.361, intensity 16

Atomic structure:
```
LuCoC2
1.0
3.4336 0.0000 0.0000
0.0000 2.2380 2.9636
0.0000 -2.2380 2.9636
Lu Co C
1 1 2
direct
0.0000 0.0000 0.0000
0.5000 0.6172 0.6172
0.5000 0.1516 0.4598
0.5000 0.4598 0.1516
```

=====

No. 3
The following is a theoretical powder X-ray diffraction pattern of Fe7Se3. It was derived from DFT lattice parameters and positions (PBE), using a wavelength of 1.5418 Å.
Kinematic intensities with the Lorentz-polarization factor, no thermal factor.

Top 10 peaks for 5 to 70 degrees two-theta, in order of rising 2θ:
d 3.150, intensity 32
d 2.359, intensity 21
d 2.303, intensity 54
d 2.242, intensity 24
d 2.202, intensity 77
d 2.162, intensity 37
d 2.083, intensity 33
d 1.991, intensity 30
d 1.986, intensity 100
d 1.934, intensity 40

Atomic structure:
```
Fe7Se3
1.0
5.6463 0.0000 0.0000
0.0000 7.9636 0.0000
0.0000 0.0000 12.5370
Fe Se
28 12
direct
0.0179 0.0083 0.1966
0.0179 0.4917 0.1966
0.1379 0.7500 0.0989
0.1810 0.0869 0.9914
0.1810 0.4131 0.9914
0.1828 0.7500 0.6864
0.2482 0.7500 0.2991
0.2518 0.2500 0.7991
0.3172 0.2500 0.1864
0.3190 0.5869 0.4914
0.3190 0.9131 0.4914
0.3621 0.2500 0.5989
0.4821 0.5083 0.6966
0.4821 0.9917 0.6966
0.5179 0.0083 0.3034
0.5179 0.4917 0.3034
0.6379 0.7500 0.4011
0.6810 0.0869 0.5086
0.6810 0.4131 0.5086
0.6828 0.7500 0.8136
0.7482 0.7500 0.2009
0.7518 0.2500 0.7009
0.8172 0.2500 0.3136
0.8190 0.5869 0.0086
0.8190 0.9131 0.0086
0.8621 0.2500 0.9011
0.9821 0.5083 0.8034
0.9821 0.9917 0.8034
0.0475 0.0382 0.6218
0.0475 0.4618 0.6218
0.1200 0.7500 0.9007
0.3800 0.2500 0.4007
0.4525 0.5382 0.1218
0.4525 0.9618 0.1218
0.5475 0.0382 0.8782
0.5475 0.4618 0.8782
0.6200 0.7500 0.5993
0.8800 0.2500 0.0993
0.9525 0.5382 0.3782
0.9525 0.9618 0.3782
```

=====

No. 4
The following is a theoretical powder X-ray diffraction pattern of ZrCl2. It was derived from DFT lattice parameters and positions (PBE), using a wavelength of 1.5418 Å.
Kinematic intensities with the Lorentz-polarization factor, no thermal factor.

Top 10 peaks for 5 to 70 degrees two-theta, in order of rising 2θ:
d 7.075, intensity 86
d 6.607, intensity 39
d 4.189, intensity 13
d 3.815, intensity 13
d 3.119, intensity 13
d 2.732, intensity 14
d 2.594, intensity 100
d 2.268, intensity 14
d 2.220, intensity 15
d 1.834, intensity 59

Atomic structure:
```
ZrCl2
1.0
6.6069 3.8145 3.0006
-6.6069 3.8145 3.0006
0.0000 -7.6290 3.0006
Zr Cl
6 12
direct
0.2009 0.4681 0.3976
0.3976 0.2009 0.4681
0.4681 0.3976 0.2009
0.5319 0.6024 0.7991
0.6024 0.7991 0.5319
0.7991 0.5319 0.6024
0.0502 0.1291 0.3521
0.1291 0.3521 0.0502
0.1874 0.5784 0.7223
0.2777 0.8126 0.4216
0.3521 0.0502 0.1291
0.4216 0.2777 0.8126
0.5784 0.7223 0.1874
0.6479 0.9498 0.8709
0.7223 0.1874 0.5784
0.8126 0.4216 0.2777
0.8709 0.6479 0.9498
0.9498 0.8709 0.6479
```

=====

No. 5
The following is a theoretical powder X-ray diffraction pattern of Cr4Cu3Se8. It was derived from DFT lattice parameters and positions (PBE), using a wavelength of 1.5418 Å.
Kinematic intensities with the Lorentz-polarization factor, no thermal factor.

Top 10 peaks for 5 to 70 degrees two-theta, in order of rising 2θ:
d 3.200, intensity 23
d 3.182, intensity 22
d 3.065, intensity 27
d 3.050, intensity 31
d 2.659, intensity 24
d 2.642, intensity 44
d 2.046, intensity 13
d 2.037, intensity 17
d 1.874, intensity 100
d 1.862, intensity 21

Atomic structure:
```
Cr4Cu3Se8
1.0
-3.7233 3.7506 5.3170
3.7233 -3.7506 5.3170
3.7233 3.7506 -5.3170
Cr Cu Se
4 3 8
direct
0.2400 0.0000 0.2400
0.7452 0.0045 0.2593
0.7452 0.4858 0.7407
0.7600 0.0000 0.7600
0.1095 0.6095 0.5000
0.3423 0.8423 0.5000
0.3656 0.3656 0.0000
0.4989 0.2354 0.2635
0.5031 0.2415 0.7383
0.5031 0.7648 0.2617
0.5209 0.7417 0.7792
0.9626 0.7417 0.2208
0.9719 0.2354 0.7365
0.9828 0.2179 0.2350
0.9828 0.7478 0.7650
```

=====

No. 6
The following is a theoretical powder X-ray diffraction pattern of PrMgGa. It was derived from DFT lattice parameters and positions (PBE), using a wavelength of 1.5418 Å.
Kinematic intensities with the Lorentz-polarization factor, no thermal factor.

Top 10 peaks for 5 to 70 degrees two-theta, in order of rising 2θ:
d 4.565, intensity 22
d 3.764, intensity 23
d 3.260, intensity 29
d 2.904, intensity 79
d 2.653, intensity 100
d 2.464, intensity 25
d 2.283, intensity 25
d 2.171, intensity 31
d 1.808, intensity 20
d 1.681, intensity 28

Atomic structure:
```
PrMgGa
1.0
7.5284 0.0000 0.0000
-3.7642 6.5198 0.0000
0.0000 0.0000 4.5653
Pr Mg Ga
3 3 3
direct
0.0000 0.4224 0.0000
0.4224 0.0000 0.0000
0.5776 0.5776 0.0000
0.0000 0.7576 0.5000
0.2424 0.2424 0.5000
0.7576 0.0000 0.5000
0.0000 0.0000 0.0000
0.3333 0.6667 0.5000
0.6667 0.3333 0.5000
```

=====

No. 7
The following is a theoretical powder X-ray diffraction pattern of Ce12Sn5Ge3. It was derived from DFT lattice parameters and positions (PBE), using a wavelength of 1.5418 Å.
Kinematic intensities with the Lorentz-polarization factor, no thermal factor.

Top 10 peaks for 5 to 70 degrees two-theta, in order of rising 2θ:
d 2.903, intensity 18
d 2.834, intensity 50
d 2.801, intensity 45
d 2.745, intensity 100
d 2.679, intensity 11
d 2.654, intensity 17
d 2.536, intensity 28
d 1.679, intensity 12
d 1.549, intensity 11
d 1.478, intensity 9

Atomic structure:
```
Ce12Sn5Ge3
1.0
-5.9353 5.9353 8.0385
5.9353 -5.9353 8.0385
5.9353 5.9353 -8.0385
Ce Sn Ge
24 10 6
direct
0.0642 0.9282 0.2628
0.0718 0.3346 0.1360
0.1427 0.6427 0.5000
0.1653 0.3347 0.5000
0.1654 0.4282 0.8640
0.1986 0.9358 0.8640
0.3014 0.1654 0.7372
0.3346 0.1986 0.2628
0.3347 0.8347 0.1694
0.3573 0.8573 0.5000
0.4282 0.5642 0.2628
0.4358 0.6986 0.8640
0.5642 0.3014 0.1360
0.5718 0.4358 0.7372
0.6427 0.1427 0.5000
0.6653 0.1653 0.8306
0.6654 0.8014 0.7372
0.6986 0.8346 0.2628
0.8014 0.0642 0.1360
0.8346 0.5718 0.1360
0.8347 0.6653 0.5000
0.8573 0.3573 0.5000
0.9282 0.6654 0.8640
0.9358 0.0718 0.7372
0.0000 0.0000 0.0000
0.0270 0.8759 0.5000
0.1241 0.6241 0.1512
0.3759 0.5270 0.5000
0.4730 0.9730 0.8488
0.5000 0.5000 0.0000
0.5270 0.0270 0.1512
0.6241 0.4730 0.5000
0.8759 0.3759 0.8488
0.9730 0.1241 0.5000
0.1209 0.6209 0.7418
0.2500 0.2500 0.0000
0.3791 0.1209 0.5000
0.6209 0.8791 0.5000
0.7500 0.7500 0.0000
0.8791 0.3791 0.2582
```

=====

No. 8
The following is a theoretical powder X-ray diffraction pattern of Tb3Tl5. It was derived from DFT lattice parameters and positions (PBE), using a wavelength of 1.5418 Å.
Kinematic intensities with the Lorentz-polarization factor, no thermal factor.

Top 10 peaks for 5 to 70 degrees two-theta, in order of rising 2θ:
d 3.083, intensity 11
d 3.043, intensity 7
d 2.724, intensity 100
d 2.644, intensity 24
d 2.593, intensity 39
d 2.360, intensity 25
d 1.851, intensity 19
d 1.640, intensity 12
d 1.541, intensity 9
d 1.407, intensity 10

Atomic structure:
```
Tb3Tl5
1.0
5.1819 -4.0242 0.0000
5.1819 4.0242 0.0000
0.0000 0.0000 10.5750
Tb Tl
6 10
direct
0.1142 0.8858 0.7500
0.2937 0.2937 0.0000
0.2937 0.2937 0.5000
0.7063 0.7063 0.0000
0.7063 0.7063 0.5000
0.8858 0.1142 0.2500
0.0117 0.4466 0.7500
0.2000 0.8000 0.0456
0.2000 0.8000 0.4544
0.4466 0.0117 0.2500
0.4973 0.5027 0.7500
0.5027 0.4973 0.2500
0.5534 0.9883 0.7500
0.8000 0.2000 0.5456
0.8000 0.2000 0.9544
0.9883 0.5534 0.2500
```

=====

What did the first record say?
The following is a theoretical powder X-ray diffraction pattern of BiTeO5. It was derived from DFT lattice parameters and positions (PBE), using a wavelength of 1.5418 Å.
Kinematic intensities with the Lorentz-polarization factor, no thermal factor.

Top 10 peaks for 5 to 70 degrees two-theta, in order of rising 2θ:
d 5.601, intensity 100
d 5.014, intensity 16
d 4.015, intensity 32
d 3.800, intensity 40
d 3.346, intensity 33
d 2.827, intensity 17
d 2.749, intensity 19
d 2.674, intensity 17
d 2.251, intensity 16
d 2.242, intensity 21

Atomic structure:
```
BiTeO5
1.0
5.8639 0.0000 0.0000
0.0000 11.2654 0.0000
-2.6751 0.0000 8.5931
Bi Te O
4 4 20
direct
0.0088 0.0836 0.3547
0.0088 0.4164 0.8547
0.9912 0.5836 0.1453
0.9912 0.9164 0.6453
0.1585 0.1452 0.9471
0.1585 0.3548 0.4471
0.8415 0.6452 0.5529
0.8415 0.8548 0.0529
0.1309 0.7142 0.6656
0.1309 0.7858 0.1656
0.1640 0.0794 0.1373
0.1640 0.4206 0.6373
0.1959 0.5607 0.9874
0.1959 0.9393 0.4874
0.2664 0.0324 0.8326
0.2664 0.4676 0.3326
0.3302 0.2126 0.4734
0.3302 0.2874 0.9734
0.6698 0.7126 0.0266
0.6698 0.7874 0.5266
0.7336 0.5324 0.6674
0.7336 0.9676 0.1674
0.8041 0.0607 0.5126
0.8041 0.4393 0.0126
0.8360 0.5794 0.3627
0.8360 0.9206 0.8627
0.8691 0.2142 0.8344
0.8691 0.2858 0.3344
```

=====

Number 6 is which compound? PrMgGa